This entry pairs a crystal structure of MgMn4ZnS8 with its simulated powder diffraction line list. Radiation: copper Kα. Structure: a GGA-PBE-relaxed structure.

Structural model:
```
MgMn4ZnS8
1.0
5.9437 -3.4350 0.0000
5.9437 3.4350 0.0000
-3.9558 0.0000 6.2567
Mg Mn Zn S
1 4 1 8
Direct
0.0000 0.0000 0.0000
0.3671 0.3671 0.5715
0.3669 0.8403 0.5717
0.8403 0.3669 0.5717
0.8437 0.8437 0.5277
0.3544 0.3544 0.0605
0.1028 0.1028 0.7855
0.1035 0.5811 0.7860
0.1283 0.1283 0.3820
0.1405 0.6051 0.3478
0.5811 0.1035 0.7860
0.5948 0.5948 0.7818
0.6051 0.1405 0.3478
0.6056 0.6056 0.3484
```

Most intense lines, 2θ = 15–90°, low angle first:
2θ = 15.6°, rel. 16.6; 2θ = 17.7°, rel. 10.3; 2θ = 30.4°, rel. 12.9; 2θ = 35.8°, rel. 100.0; 2θ = 45.6°, rel. 15.5; 2θ = 49.5°, rel. 35.2; 2θ = 53.4°, rel. 34.8; 2θ = 65.9°, rel. 13.5; 2θ = 83.6°, rel. 9.5; 2θ = 89.7°, rel. 11.3